(1)
Calculated X-ray diffraction stick pattern
Compound: Zr2BeW
Radiation: Cu Kα
Structure: a crystal structure in Alexandria, relaxed with PBE

Top 10 peaks for 10° ≤ 2θ ≤ 90°, by angle:
d/Å  Position (°2θ)  intensity
5.149  17.22  38
3.964  22.43  30
3.141  28.42  19
2.587  34.68  100
2.574  34.85  18
2.490  36.07  51
2.159  41.84  34
2.109  42.89  43
1.982  45.78  21
1.551  59.62  24

Structure:
```
Zr2BeW
1.0
3.964 0.000 0.000
0.000 1.809 5.149
0.000 -1.809 5.149
Zr Be W
2 1 1
direct
0.000 0.000 0.000 Zr
0.500 0.298 0.298 Zr
0.500 0.579 0.579 Be
0.000 0.712 0.712 W
```

(2)
Calculated X-ray diffraction stick pattern
Compound: RbTi2GaO6
Radiation: Cu Kα
Structure: a crystal structure in Alexandria, relaxed with PBE

Top 10 peaks for 10° ≤ 2θ ≤ 90°, by angle:
d/Å  Position (°2θ)  intensity
4.319  20.56  92
3.642  24.44  47
3.495  25.48  66
3.327  26.80  88
3.034  29.44  78
2.925  30.56  39
2.900  30.83  100
2.801  31.95  63
2.468  36.41  55
1.711  53.55  34

Structure:
```
RbTi2GaO6
1.0
4.630 -6.025 0.000
4.630 6.025 0.000
-2.260 0.000 5.850
Rb Ti Ga O
2 4 2 12
direct
0.103 0.897 0.750 Rb
0.897 0.103 0.250 Rb
0.279 0.437 0.852 Ti
0.437 0.279 0.352 Ti
0.563 0.721 0.648 Ti
0.721 0.563 0.148 Ti
0.209 0.791 0.250 Ga
0.791 0.209 0.750 Ga
0.043 0.261 0.742 O
0.227 0.647 0.984 O
0.261 0.043 0.242 O
0.345 0.408 0.565 O
0.353 0.773 0.516 O
0.408 0.345 0.065 O
0.592 0.655 0.935 O
0.647 0.227 0.484 O
0.655 0.592 0.435 O
0.739 0.957 0.758 O
0.773 0.353 0.016 O
0.957 0.739 0.258 O
```

(3)
Calculated X-ray diffraction stick pattern
Compound: La2SmDyHo2
Radiation: Cu Kα
Structure: a crystal structure in Alexandria, relaxed with PBE

Top 10 peaks for 10° ≤ 2θ ≤ 90°, by angle:
d/Å  Position (°2θ)  intensity
2.883  31.02  88
2.866  31.21  100
2.228  40.49  13
2.033  44.58  32
1.771  51.61  8
1.658  55.43  41
1.654  55.57  13
1.506  61.56  29
1.284  73.82  10
1.209  79.23  14

Structure:
```
La2SmDyHo2
1.0
7.084 0.000 0.000
0.000 5.726 0.000
0.000 0.000 9.938
La Sm Dy Ho
4 2 2 4
direct
0.000 0.000 0.000 La
0.250 0.500 0.172 La
0.500 0.000 0.000 La
0.750 0.500 0.828 La
0.000 0.500 0.500 Sm
0.500 0.500 0.500 Sm
0.250 0.000 0.663 Dy
0.750 0.000 0.337 Dy
0.250 0.000 0.335 Ho
0.250 0.500 0.833 Ho
0.750 0.000 0.665 Ho
0.750 0.500 0.167 Ho
```

(4)
Calculated X-ray diffraction stick pattern
Compound: CdAg5Hg2
Radiation: Cu Kα
Structure: a crystal structure in Alexandria, relaxed with PBE

Top 10 peaks for 10° ≤ 2θ ≤ 90°, by angle:
d/Å  Position (°2θ)  intensity
2.856  31.32  20
2.554  35.13  33
2.458  36.56  53
2.428  37.03  100
2.358  38.16  23
2.304  39.09  41
2.148  42.07  16
2.019  44.88  20
1.428  65.36  19
1.277  74.26  28

Structure:
```
CdAg5Hg2
1.0
-1.502 4.609 5.712
1.502 -4.609 5.712
1.502 4.609 -5.712
Cd Ag Hg
1 5 2
direct
0.000 0.000 0.000 Cd
0.140 0.376 0.764 Ag
0.388 0.624 0.764 Ag
0.500 0.000 0.500 Ag
0.612 0.376 0.236 Ag
0.860 0.624 0.236 Ag
0.250 0.750 0.500 Hg
0.750 0.250 0.500 Hg
```